Starting from a crystal structure in the Materials Project, relaxed with GGA-PBE, the powder diffraction line list of LiSbP4O12 was calculated for Cu Kα (weighted mean of Kα1 and Kα2).
Lines closer than 0.1° are merged.

Atomic structure:
Cell: 7.168 7.168 10.241 Å, 94.34 94.34 113.61°
Fractional coordinates of all 36 atoms:
Li 0.179 0.821 0.750
Li 0.821 0.179 0.250
Sb 0.107 0.893 0.250
Sb 0.893 0.107 0.750
P 0.240 0.288 0.058
P 0.281 0.653 0.489
P 0.288 0.240 0.558
P 0.347 0.719 0.011
P 0.653 0.281 0.989
P 0.712 0.760 0.442
P 0.719 0.347 0.511
P 0.760 0.712 0.942
O 0.104 0.584 0.382
O 0.120 0.192 0.925
O 0.157 0.183 0.178
O 0.183 0.157 0.678
O 0.186 0.692 0.901
O 0.192 0.120 0.425
O 0.268 0.517 0.091
O 0.308 0.814 0.599
O 0.309 0.469 0.558
O 0.416 0.896 0.118
O 0.469 0.309 0.058
O 0.483 0.732 0.409
O 0.517 0.268 0.591
O 0.531 0.691 0.942
O 0.584 0.104 0.882
O 0.691 0.531 0.442
O 0.692 0.186 0.401
O 0.732 0.483 0.909
O 0.808 0.880 0.575
O 0.814 0.308 0.099
O 0.817 0.843 0.322
O 0.843 0.817 0.822
O 0.880 0.808 0.075
O 0.896 0.416 0.618

Top 10 peaks for 2θ from 5° to 70°, by intensity:
2θ/deg  I (rel.)
23.43  1000
26.02  466
30.83  387
17.17  364
29.75  338
27.74  295
15.27  283
16.99  283
13.57  233
37.89  232

Starting from a crystal structure in the Materials Project, relaxed with GGA-PBE, the powder diffraction line list of AuO2F6 was calculated for Cu Kα (weighted mean of Kα1 and Kα2).
Lines closer than 0.1° are merged.

Atomic structure:
Cell: 5.064 5.144 5.236 Å, 83.51 78.67 76.38°
Fractional coordinates of all 9 atoms:
Au 0.000 0.000 0.000
O 0.393 0.498 0.474
O 0.607 0.502 0.526
F 0.062 0.283 0.184
F 0.220 0.111 0.674
F 0.334 0.761 0.091
F 0.666 0.239 0.909
F 0.780 0.889 0.326
F 0.938 0.717 0.816

Top 10 peaks for 2θ from 5° to 70°, by intensity:
2θ/deg  I (rel.)
17.32  1000
18.31  884
17.79  873
22.62  677
22.95  668
24.02  643
38.20  519
25.80  458
27.48  438
28.36  435

Starting from a crystal structure in the Materials Project, relaxed with GGA-PBE, the powder diffraction line list of B10Pb6O21 was calculated for Cu Kα (weighted mean of Kα1 and Kα2).
Lines closer than 0.1° are merged.

Atomic structure:
Cell: 6.953 7.105 11.405 Å, 82.98 77.85 60.93°
Fractional coordinates of all 37 atoms:
B 0.028 0.172 0.075
B 0.055 0.932 0.704
B 0.223 0.677 0.257
B 0.283 0.629 0.556
B 0.332 0.965 0.202
B 0.668 0.035 0.798
B 0.717 0.371 0.444
B 0.777 0.323 0.743
B 0.945 0.068 0.296
B 0.972 0.828 0.925
Pb 0.154 0.355 0.803
Pb 0.255 0.238 0.433
Pb 0.462 0.742 0.909
Pb 0.538 0.258 0.091
Pb 0.745 0.762 0.567
Pb 0.846 0.645 0.197
O 0.001 0.833 0.299
O 0.052 0.720 0.024
O 0.128 0.834 0.824
O 0.130 0.560 0.556
O 0.148 0.076 0.299
O 0.239 0.816 0.608
O 0.254 0.070 0.083
O 0.266 0.466 0.260
O 0.386 0.733 0.205
O 0.471 0.020 0.789
O 0.500 0.500 0.500
O 0.529 0.980 0.211
O 0.614 0.267 0.795
O 0.734 0.534 0.740
O 0.746 0.930 0.917
O 0.761 0.184 0.392
O 0.852 0.924 0.701
O 0.870 0.440 0.444
O 0.872 0.166 0.176
O 0.948 0.280 0.976
O 0.999 0.167 0.701

Top 10 peaks for 2θ from 5° to 70°, by intensity:
2θ/deg  I (rel.)
25.67  1000
28.28  765
27.70  649
14.91  618
23.63  497
29.54  453
45.85  419
40.24  355
15.48  349
28.76  330

- Which formula does entry 3 have?
  B10Pb6O21